KMgInMo3O12: computed powder diffraction line list (copper Kα), based on a cell relaxed with PBE+U.
Peak positions follow from Bragg's law for the DFT cell and can differ from measured ones.

Peak list (10 most intense, 2θ from 5° to 70°, by intensity)
(hkl), 2θ (°), Rel. int.
3 1 0, 21.30, 100
3 1 1, 28.41, 58
6 0 -2, 32.10, 24
3 1 2, 37.52, 17
4 0 0, 25.68, 15
6 2 0, 43.38, 13
0 0 2, 21.48, 12
1 1 0, 11.16, 10
2 0 0, 12.76, 8
5 1 0, 33.60, 7

Unit cell a=16.729 b=9.658 c=9.987 alpha=90.00 beta=123.94 gamma=90.00
Space group C2 (No. 5)
Unique sites:
K1 0.247 0.000 0.242 [4 per cell]
Mg1 0.106 0.000 0.817 [4 per cell]
In1 0.107 0.500 0.322 [4 per cell]
Mo1 0.000 0.719 0.500 [2 per cell]
Mo2 0.000 0.789 0.000 [2 per cell]
Mo3 0.141 0.141 0.500 [4 per cell]
Mo4 0.144 0.356 0.000 [4 per cell]
O1 0.035 0.075 0.326 [4 per cell]
O2 0.042 0.435 0.824 [4 per cell]
O3 0.068 0.823 0.675 [4 per cell]
O4 0.076 0.683 0.176 [4 per cell]
O5 0.076 0.897 0.972 [4 per cell]
O6 0.084 0.610 0.487 [4 per cell]
O7 0.141 0.382 0.175 [4 per cell]
O8 0.143 0.103 0.676 [4 per cell]
O9 0.146 0.173 0.972 [4 per cell]
O10 0.146 0.328 0.487 [4 per cell]
O11 0.243 0.062 0.513 [4 per cell]
O12 0.250 0.430 0.028 [4 per cell]